(1)
Starting from a DFT-relaxed cell (PBE, Alexandria), the X-ray powder pattern of Ca3SmBi2P was calculated for copper Kα.

Principal peaks in the range 2θ = 10–80°, by angle:
Position (°2θ), d_spacing, Rel. int.
17.24, 5.143, 57
23.37, 3.806, 48
23.61, 3.769, 35
25.97, 3.430, 33
31.94, 2.802, 21
32.11, 2.787, 100
33.11, 2.705, 34
34.14, 2.626, 31
40.93, 2.205, 23
41.63, 2.169, 19
48.30, 1.884, 24
58.52, 1.577, 18

Crystal structure
Cell: 5.2525 5.4106 16.5659 Å, 90.00 90.00 90.00°
Space group Immm (No. 71)
Unique sites:
Ca (0.0000, 0.0000, 0.0000)
Ca (0.0000, 0.5000, 0.3276)
Sm (0.0000, 0.0000, 0.5000)
Bi (0.0000, 0.5000, 0.1347)
P (0.0000, 0.5000, 0.5000)



(2)
Starting from a DFT-relaxed cell (PBE, Alexandria), the X-ray powder pattern of Sr3CaBi2P was calculated for copper Kα.

Principal peaks in the range 2θ = 10–80°, by angle:
Position (°2θ), d_spacing, Rel. int.
16.61, 5.337, 27
20.30, 4.374, 19
22.49, 3.954, 18
22.92, 3.881, 76
25.10, 3.547, 30
30.48, 2.933, 25
30.80, 2.903, 100
31.94, 2.802, 40
33.32, 2.689, 35
44.73, 2.026, 17
46.82, 1.940, 27
56.21, 1.636, 19

Crystal structure
Cell: 5.3787 5.6041 17.4942 Å, 90.00 90.00 90.00°
Space group Immm (No. 71)
Unique sites:
Sr (0.0000, 0.0000, 0.0000)
Sr (0.0000, 0.5000, 0.1720)
Ca (0.0000, 0.0000, 0.5000)
Bi (0.0000, 0.5000, 0.3667)
P (0.0000, 0.5000, 0.0000)



(3)
Starting from a DFT-relaxed cell (PBE, Alexandria), the X-ray powder pattern of Ca2Bi3Pb was calculated for copper Kα.

Principal peaks in the range 2θ = 10–80°, by angle:
Position (°2θ), d_spacing, Rel. int.
15.05, 5.888, 27
19.64, 4.519, 35
23.98, 3.711, 23
29.54, 3.024, 33
29.65, 3.013, 89
32.65, 2.742, 100
38.31, 2.350, 26
39.90, 2.260, 41
49.11, 1.855, 19
56.50, 1.629, 30
60.90, 1.521, 24
64.50, 1.445, 21

Crystal structure
Cell: 7.0501 11.7752 4.6995 Å, 90.00 90.00 90.00°
Space group Pnnm (No. 58)
Unique sites:
Ca (0.2485, 0.1636, 0.0000)
Bi (0.0000, 0.5000, 0.0000)
Bi (0.2448, 0.3623, 0.5000)
Pb (0.0000, 0.0000, 0.5000)